# 1
This entry pairs a crystal structure of Rb5AgHg with its computed XRD peak list. Radiation: Cu Kα. Structure: a GGA-PBE-relaxed structure.

Atomic structure:
```
Rb5AgHg
1.0
6.132 -9.086 0.000
6.132 9.086 0.000
-2.773 0.000 8.074
Rb Ag Hg
10 2 2
Cartesian
0.322 1.529 6.880
4.053 6.340 6.055
3.602 2.779 3.419
1.708 -1.529 2.843
7.276 2.779 0.618
2.216 -2.779 7.456
7.783 1.529 5.231
5.889 -2.779 4.655
5.439 -6.340 2.018
9.170 -1.529 1.194
0.000 0.000 0.000
-1.386 0.000 4.037
4.053 0.169 6.055
5.439 -0.169 2.018
```

Largest 10 diffraction maxima, by angle, 2θ = 15–90°:
two_theta, I_rel
15.28, 38
22.46, 33
22.57, 42
23.72, 51
25.54, 100
26.09, 49
26.69, 38
30.16, 45
32.38, 62
33.38, 51

# 2
This entry pairs a crystal structure of Rb5Ag2Hg2 with its computed XRD peak list. Radiation: Cu Kα. Structure: a GGA-PBE-relaxed structure.

Atomic structure:
```
Rb5Ag2Hg2
1.0
-10.280 4.951 4.396
10.280 -4.951 4.396
10.280 4.951 -4.396
Rb Ag Hg
10 4 4
Cartesian
13.269 2.887 -1.397
7.291 -2.065 2.998
1.332 1.725 0.000
8.948 1.725 0.000
5.140 3.854 1.286
-2.989 2.065 2.998
13.269 2.065 2.998
5.140 1.097 5.681
1.332 3.226 4.396
8.948 3.226 4.396
-1.394 4.728 1.295
1.394 -0.223 5.691
1.394 5.175 1.295
8.887 5.175 1.295
5.140 -0.036 0.519
15.420 0.036 0.519
0.000 0.000 3.122
10.280 0.000 3.122
```

Largest 10 diffraction maxima, by angle, 2θ = 15–90°:
two_theta, I_rel
16.00, 100
17.91, 32
21.97, 33
24.38, 31
24.97, 57
28.51, 47
29.39, 43
30.20, 79
31.84, 59
33.15, 60

# 3
This entry pairs a crystal structure of Rb3Ag2Hg9 with its computed XRD peak list. Radiation: Cu Kα. Structure: a GGA-PBE-relaxed structure.

Atomic structure:
```
Rb3Ag2Hg9
1.0
-2.517 5.947 7.321
2.517 -5.947 7.321
2.517 5.947 -7.321
Rb Ag Hg
3 2 9
Cartesian
0.000 0.000 0.000
0.000 0.000 4.594
0.000 0.000 10.049
2.517 3.286 0.000
0.000 2.661 7.321
2.517 -1.654 2.498
2.517 -2.603 5.572
2.517 1.654 2.498
0.000 3.345 1.750
0.000 5.947 0.000
2.517 2.603 5.572
0.000 4.293 4.824
0.000 8.550 1.750
0.000 7.601 4.824
```

Largest 10 diffraction maxima, by angle, 2θ = 15–90°:
two_theta, I_rel
19.15, 37
28.65, 86
29.59, 81
31.20, 40
35.46, 39
35.65, 100
37.93, 39
38.66, 43
39.76, 27
53.31, 30

# 4
This entry pairs a crystal structure of Rb2Ag3Hg with its computed XRD peak list. Radiation: Cu Kα. Structure: a GGA-PBE-relaxed structure.

Atomic structure:
```
Rb2Ag3Hg
1.0
5.899 0.000 0.000
0.000 7.060 0.000
0.000 0.000 9.179
Rb Ag Hg
4 6 2
Cartesian
1.475 0.000 1.130
1.475 3.530 3.217
4.424 0.000 8.049
4.424 3.530 5.962
0.000 0.000 4.589
1.475 1.437 6.532
1.475 5.623 6.532
2.950 0.000 4.589
4.424 1.437 2.647
4.424 5.623 2.647
1.475 3.530 8.471
4.424 3.530 0.707
```

Largest 10 diffraction maxima, by angle, 2θ = 15–90°:
two_theta, I_rel
15.84, 50
17.87, 35
27.68, 100
30.30, 35
31.09, 27
31.87, 30
31.99, 35
35.45, 56
41.07, 31
57.17, 27

# 5
This entry pairs a crystal structure of RbAgHgTe2 with its computed XRD peak list. Radiation: Cu Kα. Structure: a GGA-PBE-relaxed structure.

Atomic structure:
```
RbAgHgTe2
1.0
7.438 -2.368 0.000
7.438 2.368 0.000
-2.227 0.000 10.500
Rb Ag Hg Te
2 2 2 4
Cartesian
2.144 0.000 2.002
10.506 0.000 8.498
0.957 0.000 6.095
11.693 0.000 4.404
6.237 0.000 3.008
6.412 0.000 7.492
0.018 0.000 8.776
4.109 0.000 5.924
8.540 0.000 4.575
12.632 0.000 1.724
```

Largest 10 diffraction maxima, by angle, 2θ = 15–90°:
two_theta, I_rel
21.97, 28
26.30, 74
27.56, 27
31.35, 100
31.58, 46
33.49, 40
38.00, 55
38.77, 34
40.89, 34
50.21, 26

# 6
This entry pairs a crystal structure of Ag2HgRh with its computed XRD peak list. Radiation: Cu Kα. Structure: a GGA-PBE-relaxed structure.

Atomic structure:
```
Ag2HgRh
1.0
1.478 0.853 9.390
-1.478 0.853 9.390
0.000 -1.707 9.390
Ag Hg Rh
2 1 1
Cartesian
0.000 0.000 0.000
0.000 0.000 7.035
0.000 0.000 13.951
0.000 0.000 21.038
```

Largest 10 diffraction maxima, by angle, 2θ = 15–90°:
two_theta, I_rel
18.90, 5
37.37, 100
38.34, 30
43.71, 63
62.87, 21
64.20, 19
75.48, 12
76.10, 24
77.32, 11
79.70, 11

# 7
This entry pairs a crystal structure of Ag5HgS4 with its computed XRD peak list. Radiation: Cu Kα. Structure: a GGA-PBE-relaxed structure.

Atomic structure:
```
Ag5HgS4
1.0
8.230 0.000 0.000
0.000 8.712 0.000
0.000 0.000 6.290
Ag Hg S
10 2 8
Cartesian
0.605 0.627 1.236
0.605 3.729 1.236
2.058 2.178 5.264
3.510 0.627 1.236
3.510 3.729 1.236
4.721 4.983 5.054
4.721 8.085 5.054
6.173 6.534 1.026
7.625 4.983 5.054
7.625 8.085 5.054
2.058 6.534 2.934
6.173 2.178 3.356
0.300 2.178 3.151
2.058 4.649 5.749
2.058 8.418 5.749
3.816 2.178 3.151
4.415 6.534 3.139
6.173 0.293 0.541
6.173 4.062 0.541
7.931 6.534 3.139
```

Largest 10 diffraction maxima, by angle, 2θ = 15–90°:
two_theta, I_rel
20.49, 100
24.86, 61
27.86, 44
29.87, 40
32.15, 45
34.00, 73
35.20, 30
35.72, 66
47.85, 37
54.48, 39

# 8
This entry pairs a crystal structure of Ag2HgS2 with its computed XRD peak list. Radiation: Cu Kα. Structure: a GGA-PBE-relaxed structure.

Atomic structure:
```
Ag2HgS2
1.0
4.518 0.000 0.000
0.000 4.518 0.000
0.000 0.000 6.997
Ag Hg S
2 1 2
Cartesian
0.000 0.000 1.411
0.000 0.000 5.586
2.259 2.259 3.499
0.000 2.259 4.886
2.259 0.000 2.112
```

Largest 10 diffraction maxima, by angle, 2θ = 15–90°:
two_theta, I_rel
23.44, 100
27.93, 55
32.36, 88
39.90, 40
46.79, 32
48.31, 35
52.28, 48
67.74, 16
78.50, 17
81.61, 16

# 9
This entry pairs a crystal structure of AgSnHg2S4 with its computed XRD peak list. Radiation: Cu Kα. Structure: a GGA-PBE-relaxed structure.

Atomic structure:
```
AgSnHg2S4
1.0
8.474 0.000 0.000
0.000 7.435 0.000
0.000 0.000 6.853
Ag Sn Hg S
2 2 4 8
Cartesian
0.000 1.161 0.000
4.237 6.274 3.426
0.000 6.173 3.416
4.237 1.261 6.842
2.100 2.496 3.436
2.137 4.938 0.010
6.337 4.938 0.010
6.374 2.496 3.436
0.000 1.205 2.598
0.000 6.182 6.000
2.083 2.460 6.071
2.154 4.975 2.645
4.237 1.253 2.573
4.237 6.230 6.025
6.319 4.975 2.645
6.391 2.460 6.071
```

Largest 10 diffraction maxima, by angle, 2θ = 15–90°:
two_theta, I_rel
23.94, 22
24.18, 51
26.01, 58
27.29, 55
27.51, 100
35.80, 27
42.25, 43
46.67, 22
46.81, 42
50.28, 39

# 10
This entry pairs a crystal structure of UAg2Hg2S6 with its computed XRD peak list. Radiation: Cu Kα. Structure: a GGA-PBE-relaxed structure.

Atomic structure:
```
UAg2Hg2S6
1.0
4.007 -5.417 0.000
4.007 5.417 0.000
-2.417 0.000 6.907
U Ag Hg S
1 2 2 6
Cartesian
0.000 0.000 0.000
4.007 1.964 0.000
4.007 -1.964 0.000
2.799 3.493 3.453
2.799 -3.493 3.453
1.014 3.579 5.044
-0.028 0.000 6.340
4.583 3.579 1.862
1.014 -3.579 5.044
5.625 0.000 0.567
4.583 -3.579 1.862
```

Largest 10 diffraction maxima, by angle, 2θ = 15–90°:
two_theta, I_rel
20.84, 46
23.52, 61
25.80, 51
28.57, 67
28.67, 50
31.99, 100
42.09, 44
44.85, 29
49.32, 22
50.73, 27

# 11
This entry pairs a crystal structure of AgHgSb2 with its computed XRD peak list. Radiation: Cu Kα. Structure: a GGA-PBE-relaxed structure.

Atomic structure:
```
AgHgSb2
1.0
4.327 0.000 0.000
0.000 4.327 0.000
0.000 0.000 5.825
Ag Hg Sb
1 1 2
Cartesian
0.000 0.000 0.000
2.164 2.164 0.000
0.000 0.000 2.913
2.164 2.164 2.913
```

Largest 10 diffraction maxima, by angle, 2θ = 15–90°:
two_theta, I_rel
29.18, 100
30.70, 44
41.75, 38
42.87, 70
52.70, 38
60.51, 12
68.58, 17
69.38, 17
71.78, 15
76.99, 25

# 12
This entry pairs a crystal structure of Ag3HgSb3 with its computed XRD peak list. Radiation: Cu Kα. Structure: a GGA-PBE-relaxed structure.

Atomic structure:
```
Ag3HgSb3
1.0
7.689 0.000 0.000
0.000 7.689 0.000
0.000 0.000 7.689
Ag Hg Sb
6 2 6
Cartesian
0.000 1.922 3.845
0.000 5.767 3.845
1.922 3.845 0.000
3.845 0.000 1.922
3.845 0.000 5.767
5.767 3.845 0.000
0.000 0.000 0.000
3.845 3.845 3.845
0.000 3.845 1.922
0.000 3.845 5.767
1.922 0.000 3.845
3.845 1.922 0.000
3.845 5.767 0.000
5.767 0.000 3.845
```

Largest 10 diffraction maxima, by angle, 2θ = 15–90°:
two_theta, I_rel
23.13, 42
28.43, 100
40.64, 17
44.06, 61
47.28, 26
53.28, 17
56.10, 15
66.61, 18
69.10, 17
76.34, 18

# 13
This entry pairs a crystal structure of AgHg2SbSe4 with its computed XRD peak list. Radiation: Cu Kα. Structure: a GGA-PBE-relaxed structure.

Atomic structure:
```
AgHg2SbSe4
1.0
0.000 4.455 6.312
4.452 0.000 6.312
4.452 4.455 0.000
Ag Hg Sb Se
1 2 1 4
Cartesian
0.000 0.000 0.000
2.226 2.227 3.152
6.678 6.682 9.464
4.452 4.455 6.305
4.452 2.152 4.726
6.749 4.455 7.890
4.452 6.758 4.726
2.156 4.455 7.890
```

Largest 10 diffraction maxima, by angle, 2θ = 15–90°:
two_theta, I_rel
24.46, 100
28.32, 10
40.48, 72
47.87, 49
58.63, 8
64.44, 20
73.60, 16
73.67, 8
78.96, 11
87.54, 7